[1]
Theoretical powder XRD pattern of PrZnAg2O6 for Cu Kα X-rays, from the PBE geometry in Alexandria.

Largest 12 diffraction maxima, in order of falling intensity, 2θ from 15° to 90°:
2θ 31.5, I 100
2θ 58.4, I 19
2θ 31.1, I 19
2θ 33.3, I 18
2θ 46.2, I 17
2θ 43.9, I 12
2θ 54.8, I 12
2θ 56.3, I 12
2θ 55.5, I 10
2θ 72.9, I 9
2θ 25.1, I 8
2θ 65.7, I 8

Crystal structure
Unit cell a=8.243 b=5.760 c=5.374 alpha=90.00 beta=90.00 gamma=90.00
Element x y z (fractional)
Pr 0.000 0.181 0.000
Pr 0.500 0.819 0.500
Zn 0.000 0.686 0.446
Zn 0.500 0.314 0.946
Ag 0.248 0.744 0.976
Ag 0.252 0.256 0.476
Ag 0.748 0.256 0.476
Ag 0.752 0.744 0.976
O 0.000 0.314 0.584
O 0.000 0.796 0.805
O 0.164 0.478 0.199
O 0.176 0.942 0.289
O 0.324 0.058 0.789
O 0.336 0.522 0.699
O 0.500 0.204 0.305
O 0.500 0.686 0.084
O 0.664 0.522 0.699
O 0.676 0.058 0.789
O 0.824 0.942 0.289
O 0.836 0.478 0.199

***

[2]
Theoretical powder XRD pattern of AgPtO3 for Cu Kα X-rays, from the PBE geometry in Alexandria.

Largest 12 diffraction maxima, in order of falling intensity, 2θ from 15° to 90°:
2θ 31.7, I 100
2θ 31.5, I 78
2θ 31.9, I 73
2θ 27.3, I 61
2θ 30.7, I 47
2θ 32.4, I 40
2θ 45.8, I 33
2θ 48.4, I 31
2θ 56.1, I 27
2θ 21.1, I 27
2θ 59.0, I 27
2θ 35.0, I 26

Crystal structure
Unit cell a=6.626 b=5.520 c=6.971 alpha=90.00 beta=99.94 gamma=90.00
Element x y z (fractional)
Ag 0.045 0.144 0.233
Ag 0.045 0.356 0.733
Ag 0.955 0.644 0.267
Ag 0.955 0.856 0.767
Pt 0.425 0.739 0.075
Pt 0.425 0.761 0.575
Pt 0.575 0.239 0.425
Pt 0.575 0.261 0.925
O 0.138 0.654 0.569
O 0.138 0.846 0.069
O 0.308 0.085 0.466
O 0.308 0.415 0.966
O 0.413 0.555 0.328
O 0.413 0.945 0.828
O 0.587 0.055 0.172
O 0.587 0.445 0.672
O 0.692 0.585 0.034
O 0.692 0.915 0.534
O 0.862 0.154 0.931
O 0.862 0.346 0.431

***

[3]
Theoretical powder XRD pattern of PuAgPtO6 for Cu Kα X-rays, from the PBE geometry in Alexandria.

Largest 12 diffraction maxima, in order of falling intensity, 2θ from 15° to 90°:
2θ 26.0, I 100
2θ 33.8, I 57
2θ 49.3, I 55
2θ 17.2, I 45
2θ 38.1, I 34
2θ 43.1, I 25
2θ 55.8, I 24
2θ 60.4, I 17
2θ 34.8, I 15
2θ 81.6, I 13
2θ 71.6, I 12
2θ 57.2, I 11

Crystal structure
Unit cell a=5.310 b=5.310 c=10.313 alpha=90.00 beta=90.00 gamma=120.00
Element x y z (fractional)
Pu 0.333 0.667 0.250
Pu 0.667 0.333 0.750
Ag 0.000 0.000 0.000
Ag 0.000 0.000 0.500
Pt 0.333 0.667 0.750
Pt 0.667 0.333 0.250
O 0.003 0.356 0.641
O 0.003 0.647 0.859
O 0.353 0.356 0.859
O 0.353 0.997 0.641
O 0.356 0.003 0.141
O 0.356 0.353 0.359
O 0.644 0.647 0.641
O 0.644 0.997 0.859
O 0.647 0.003 0.359
O 0.647 0.644 0.141
O 0.997 0.353 0.141
O 0.997 0.644 0.359

***

[4]
Theoretical powder XRD pattern of PuAg4O5 for Cu Kα X-rays, from the PBE geometry in Alexandria.

Largest 12 diffraction maxima, in order of falling intensity, 2θ from 15° to 90°:
2θ 31.3, I 100
2θ 33.1, I 59
2θ 58.0, I 41
2θ 54.6, I 29
2θ 47.5, I 21
2θ 42.2, I 18
2θ 65.4, I 16
2θ 23.2, I 13
2θ 89.3, I 13
2θ 70.4, I 11
2θ 79.1, I 9
2θ 78.1, I 7

Crystal structure
Unit cell a=6.423 b=6.423 c=6.423 alpha=96.39 beta=96.39 gamma=141.04
Element x y z (fractional)
Pu 0.000 0.000 0.000
Ag 0.198 0.616 0.814
Ag 0.384 0.198 0.582
Ag 0.616 0.802 0.418
Ag 0.802 0.384 0.186
O 0.028 0.241 0.269
O 0.241 0.972 0.214
O 0.500 0.500 0.000
O 0.759 0.028 0.786
O 0.972 0.759 0.731